# 1
Theoretical PXRD pattern
Compound: SmTiBe2Pt5
Radiation: Cu Ka
Structure: a cell relaxed with PBE
Kinematic intensities with the Lorentz-polarization factor, no thermal factor.

Peak list (8 most intense, 2θ = 10–90°, by angle)
2theta, I (rel.)
27.3, 90
32.8, 88
36.6, 100
45.1, 58
49.1, 31
53.5, 58
57.1, 27
74.9, 25

Atomic structure:
a b c (Å): 4.020 4.020 9.796
angles (deg): 90.00 90.00 90.00
Space group P4/mmm (No. 123)
Asymmetric unit:
Sm  0.000  0.000  0.000 (multiplicity 1)
Ti  0.000  0.000  0.500 (multiplicity 1)
Be  0.500  0.500  0.225 (multiplicity 2)
Pt  0.000  0.500  0.328 (multiplicity 4)
Pt  0.500  0.500  0.000 (multiplicity 1)

# 2
Theoretical PXRD pattern
Compound: MgInSe2
Radiation: Cu Ka
Structure: a cell relaxed with PBE
Kinematic intensities with the Lorentz-polarization factor, no thermal factor.

Peak list (8 most intense, 2θ = 10–90°, by angle)
2theta, I (rel.)
13.5, 30
24.6, 24
27.2, 47
33.4, 100
38.8, 45
42.0, 30
47.4, 25
48.0, 20

Atomic structure:
a b c (Å): 4.007 3.765 13.103
angles (deg): 90.00 90.00 90.00
Space group Amm2 (No. 38)
Asymmetric unit:
Mg  0.000  0.000  0.000 (multiplicity 2)
In  0.500  0.000  0.234 (multiplicity 2)
Se  0.000  0.000  0.676 (multiplicity 2)
Se  0.500  0.000  0.442 (multiplicity 2)

# 3
Theoretical PXRD pattern
Compound: CdAg5Au5
Radiation: Cu Ka
Structure: a cell relaxed with PBE
Kinematic intensities with the Lorentz-polarization factor, no thermal factor.

Peak list (8 most intense, 2θ = 10–90°, by angle)
2theta, I (rel.)
19.0, 31
37.4, 100
38.5, 49
39.5, 52
40.2, 39
41.5, 42
51.0, 16
61.3, 12

Atomic structure:
a b c (Å): 5.702 5.799 6.775
angles (deg): 77.34 78.63 77.09
Space group P-1 (No. 2)
Asymmetric unit:
Cd  0.000  0.000  0.000 (multiplicity 1)
Ag  0.000  0.500  0.000 (multiplicity 1)
Ag  0.146  0.151  0.348 (multiplicity 2)
Ag  0.362  0.773  0.693 (multiplicity 2)
Au  0.228  0.647  0.309 (multiplicity 2)
Au  0.294  0.300  0.670 (multiplicity 2)
Au  0.500  0.000  0.000 (multiplicity 1)

# 4
Theoretical PXRD pattern
Compound: LaAl3Au
Radiation: Cu Ka
Structure: a cell relaxed with PBE
Kinematic intensities with the Lorentz-polarization factor, no thermal factor.

Peak list (8 most intense, 2θ = 10–90°, by angle)
2theta, I (rel.)
16.2, 35
21.8, 46
28.8, 60
31.9, 100
33.2, 53
41.2, 42
46.3, 32
53.0, 48

Atomic structure:
a b c (Å): 4.385 4.385 10.952
angles (deg): 90.00 90.00 90.00
Space group I4mm (No. 107)
Asymmetric unit:
La  0.000  0.000  0.000 (multiplicity 2)
Al  0.000  0.000  0.592 (multiplicity 2)
Al  0.000  0.500  0.239 (multiplicity 4)
Au  0.000  0.000  0.362 (multiplicity 2)

# 5
Theoretical PXRD pattern
Compound: Rb2Ta3Br9
Radiation: Cu Ka
Structure: a cell relaxed with PBE
Kinematic intensities with the Lorentz-polarization factor, no thermal factor.

Peak list (8 most intense, 2θ = 10–90°, by angle)
2theta, I (rel.)
10.1, 100
10.9, 85
13.5, 28
29.8, 19
30.8, 36
34.7, 33
39.5, 23
43.6, 23

Atomic structure:
a b c (Å): 11.052 18.092 10.512
angles (deg): 90.00 115.80 90.00
Space group C2/m (No. 12)
Asymmetric unit:
Rb  0.109  0.159  0.328 (multiplicity 8)
Ta  0.112  0.500  0.884 (multiplicity 4)
Ta  0.124  0.419  0.132 (multiplicity 8)
Br  0.000  0.298  0.000 (multiplicity 4)
Br  0.016  0.400  0.307 (multiplicity 8)
Br  0.189  0.000  0.673 (multiplicity 4)
Br  0.203  0.193  0.684 (multiplicity 8)
Br  0.208  0.102  0.981 (multiplicity 8)
Br  0.236  0.000  0.273 (multiplicity 4)

# 6
Theoretical PXRD pattern
Compound: Zr2TcSb
Radiation: Cu Ka
Structure: a cell relaxed with PBE
Kinematic intensities with the Lorentz-polarization factor, no thermal factor.

Peak list (8 most intense, 2θ = 10–90°, by angle)
2theta, I (rel.)
35.4, 63
38.2, 100
50.8, 11
51.0, 11
65.3, 20
65.4, 20
70.9, 15
74.8, 7

Atomic structure:
a b c (Å): 3.584 3.597 6.245
angles (deg): 90.00 90.00 90.00
Space group Pmmm (No. 47)
Asymmetric unit:
Zr  0.000  0.000  0.239 (multiplicity 2)
Tc  0.500  0.500  0.000 (multiplicity 1)
Sb  0.500  0.500  0.500 (multiplicity 1)

# 7
Theoretical PXRD pattern
Compound: Ba2Tl12Hg
Radiation: Cu Ka
Structure: a cell relaxed with PBE
Kinematic intensities with the Lorentz-polarization factor, no thermal factor.

Peak list (8 most intense, 2θ = 10–90°, by angle)
2theta, I (rel.)
19.5, 41
25.4, 46
26.1, 95
30.7, 67
33.9, 54
34.6, 100
37.4, 87
55.2, 38

Atomic structure:
a b c (Å): 7.323 7.323 19.129
angles (deg): 90.00 90.00 90.00
Space group P4/nbm (No. 125, origin choice 2)
Asymmetric unit:
Ba  0.250  0.750  0.247 (multiplicity 4)
Tl  0.001  0.501  0.091 (multiplicity 8)
Tl  0.086  0.586  0.567 (multiplicity 8)
Tl  0.250  0.250  0.189 (multiplicity 4)
Tl  0.250  0.250  0.346 (multiplicity 4)
Hg  0.250  0.750  0.000 (multiplicity 2)

# 8
Theoretical PXRD pattern
Compound: Cu2SiP3
Radiation: Cu Ka
Structure: a cell relaxed with PBE
Kinematic intensities with the Lorentz-polarization factor, no thermal factor.

Peak list (8 most intense, 2θ = 10–90°, by angle)
2theta, I (rel.)
28.1, 52
28.6, 92
32.0, 100
40.5, 34
50.7, 63
52.2, 83
58.9, 34
75.7, 26

Atomic structure:
a b c (Å): 6.2379 6.2379 6.3620
angles (deg): 90.00 90.00 120.00
Space group P31m (No. 157)
Asymmetric unit:
Cu  0.0000  0.0000  0.0000 (multiplicity 1)
Cu  0.0000  0.6696  0.5016 (multiplicity 3)
Si  0.3333  0.6667  0.0030 (multiplicity 2)
P  0.0000  0.0000  0.6555 (multiplicity 1)
P  0.0000  0.6666  0.1402 (multiplicity 3)
P  0.3333  0.6667  0.6469 (multiplicity 2)

Please write out number 6 again, unchanged.
Theoretical PXRD pattern
Compound: Zr2TcSb
Radiation: Cu Ka
Structure: a cell relaxed with PBE
Kinematic intensities with the Lorentz-polarization factor, no thermal factor.

Peak list (8 most intense, 2θ = 10–90°, by angle)
2theta, I (rel.)
35.4, 63
38.2, 100
50.8, 11
51.0, 11
65.3, 20
65.4, 20
70.9, 15
74.8, 7

Atomic structure:
a b c (Å): 3.584 3.597 6.245
angles (deg): 90.00 90.00 90.00
Space group Pmmm (No. 47)
Asymmetric unit:
Zr  0.000  0.000  0.239 (multiplicity 2)
Tc  0.500  0.500  0.000 (multiplicity 1)
Sb  0.500  0.500  0.500 (multiplicity 1)